For PmSbN2O, DFT lattice parameters and positions (PBE) gives the simulated powder diffractogram in this record (Cu Ka).
No peak broadening, texture or thermal motion is included.

Peak list (8 most intense, 10° ≤ 2θ ≤ 90°, most intense first)
- 2θ = 31.26°, rel. 100.0
- 2θ = 31.92°, rel. 19.6
- 2θ = 56.48°, rel. 17.0
- 2θ = 45.22°, rel. 16.0
- 2θ = 44.41°, rel. 10.9
- 2θ = 55.54°, rel. 10.0
- 2θ = 65.25°, rel. 9.4
- 2θ = 55.73°, rel. 9.2

a b c (Å): 5.7372 8.1597 5.6072
angles (deg): 90.00 90.00 90.00
Atoms (fractional coordinates):
Pm: 0.0531 0.2500 0.0202
Pm: 0.4469 0.7500 0.5202
Pm: 0.5531 0.2500 0.4798
Pm: 0.9469 0.7500 0.9798
Sb: 0.0000 0.0000 0.5000
Sb: 0.0000 0.5000 0.5000
Sb: 0.5000 0.0000 0.0000
Sb: 0.5000 0.5000 0.0000
N: 0.2044 0.5535 0.7967
N: 0.2044 0.9465 0.7967
N: 0.2956 0.0535 0.2967
N: 0.2956 0.4465 0.2967
N: 0.7044 0.5535 0.7033
N: 0.7044 0.9465 0.7033
N: 0.7956 0.0535 0.2033
N: 0.7956 0.4465 0.2033
O: 0.0273 0.7500 0.3976
O: 0.4727 0.2500 0.8976
O: 0.5273 0.7500 0.1024
O: 0.9727 0.2500 0.6024

***

For GdPt2O4, DFT lattice parameters and positions (PBE) gives the simulated powder diffractogram in this record (Cu Ka).
No peak broadening, texture or thermal motion is included.

Peak list (8 most intense, 10° ≤ 2θ ≤ 90°, most intense first)
- 2θ = 32.10°, rel. 100.0
- 2θ = 56.27°, rel. 40.0
- 2θ = 51.34°, rel. 38.8
- 2θ = 33.57°, rel. 33.8
- 2θ = 79.63°, rel. 22.4
- 2θ = 27.28°, rel. 21.2
- 2θ = 67.14°, rel. 16.2
- 2θ = 16.60°, rel. 15.2

a b c (Å): 6.5393 6.5393 6.5393
angles (deg): 60.00 60.00 60.00
Atoms (fractional coordinates):
Gd: 0.1250 0.1250 0.1250
Gd: 0.8750 0.8750 0.8750
Pt: 0.0000 0.5000 0.5000
Pt: 0.5000 0.0000 0.5000
Pt: 0.5000 0.5000 0.0000
Pt: 0.5000 0.5000 0.5000
O: 0.2640 0.2640 0.2640
O: 0.2640 0.2640 0.7081
O: 0.2640 0.7081 0.2640
O: 0.2919 0.7360 0.7360
O: 0.7081 0.2640 0.2640
O: 0.7360 0.2919 0.7360
O: 0.7360 0.7360 0.2919
O: 0.7360 0.7360 0.7360

***

For ErScW2C3, DFT lattice parameters and positions (PBE) gives the simulated powder diffractogram in this record (Cu Ka).
No peak broadening, texture or thermal motion is included.

Peak list (8 most intense, 10° ≤ 2θ ≤ 90°, most intense first)
- 2θ = 35.03°, rel. 100.0
- 2θ = 37.35°, rel. 94.2
- 2θ = 33.50°, rel. 39.7
- 2θ = 19.17°, rel. 38.1
- 2θ = 32.48°, rel. 31.6
- 2θ = 43.54°, rel. 28.5
- 2θ = 16.57°, rel. 25.8
- 2θ = 31.95°, rel. 24.6

a b c (Å): 5.9353 5.9353 5.5733
angles (deg): 109.60 109.60 31.80
Atoms (fractional coordinates):
Er: 0.0000 0.0000 0.0000
Sc: 0.7749 0.7749 0.3395
W: 0.2387 0.2387 0.8493
W: 0.5454 0.5454 0.5070
C: 0.1467 0.1467 0.4368
C: 0.3888 0.3888 0.1872
C: 0.6407 0.6407 0.9192

***

For Tl2PtO4, DFT lattice parameters and positions (PBE) gives the simulated powder diffractogram in this record (Cu Ka).
No peak broadening, texture or thermal motion is included.

Peak list (8 most intense, 10° ≤ 2θ ≤ 90°, most intense first)
- 2θ = 31.31°, rel. 100.0
- 2θ = 54.81°, rel. 39.3
- 2θ = 50.02°, rel. 37.1
- 2θ = 32.74°, rel. 29.0
- 2θ = 26.61°, rel. 24.8
- 2θ = 77.36°, rel. 23.4
- 2θ = 65.33°, rel. 13.7
- 2θ = 89.60°, rel. 13.3

a b c (Å): 6.7000 6.7000 6.7000
angles (deg): 60.00 60.00 60.00
Atoms (fractional coordinates):
Tl: 0.0000 0.0000 0.0000
Tl: 0.0000 0.0000 0.5000
Tl: 0.0000 0.5000 0.0000
Tl: 0.5000 0.0000 0.0000
Pt: 0.3750 0.3750 0.3750
Pt: 0.6250 0.6250 0.6250
O: 0.2464 0.7512 0.7512
O: 0.2488 0.2488 0.2488
O: 0.2488 0.2488 0.7536
O: 0.2488 0.7536 0.2488
O: 0.7512 0.2464 0.7512
O: 0.7512 0.7512 0.2464
O: 0.7512 0.7512 0.7512
O: 0.7536 0.2488 0.2488

***

For AcZnNO, DFT lattice parameters and positions (PBE) gives the simulated powder diffractogram in this record (Cu Ka).
No peak broadening, texture or thermal motion is included.

Peak list (8 most intense, 10° ≤ 2θ ≤ 90°, most intense first)
- 2θ = 31.97°, rel. 100.0
- 2θ = 24.92°, rel. 66.6
- 2θ = 30.67°, rel. 41.4
- 2θ = 32.28°, rel. 40.0
- 2θ = 45.12°, rel. 30.7
- 2θ = 57.36°, rel. 21.0
- 2θ = 55.35°, rel. 18.6
- 2θ = 51.15°, rel. 16.8

a b c (Å): 5.8307 7.8028 5.5472
angles (deg): 90.00 90.00 90.00
Atoms (fractional coordinates):
Ac: 0.0190 0.1734 0.0000
Ac: 0.4810 0.1734 0.5000
Ac: 0.5190 0.8266 0.0000
Ac: 0.9810 0.8266 0.5000
Zn: 0.0410 0.6118 0.0018
Zn: 0.4590 0.6118 0.5018
Zn: 0.5410 0.3882 0.0018
Zn: 0.9590 0.3882 0.5018
N: 0.0373 0.1406 0.5114
N: 0.4627 0.1406 0.0114
N: 0.5373 0.8594 0.5114
N: 0.9627 0.8594 0.0114
O: 0.1568 0.5539 0.6716
O: 0.3432 0.5539 0.1716
O: 0.6568 0.4461 0.6716
O: 0.8432 0.4461 0.1716

***

For Gd2Sc2SiGe, DFT lattice parameters and positions (PBE) gives the simulated powder diffractogram in this record (Cu Ka).
No peak broadening, texture or thermal motion is included.

Peak list (8 most intense, 10° ≤ 2θ ≤ 90°, most intense first)
- 2θ = 31.94°, rel. 100.0
- 2θ = 27.11°, rel. 99.4
- 2θ = 35.72°, rel. 83.8
- 2θ = 29.76°, rel. 77.9
- 2θ = 42.59°, rel. 70.5
- 2θ = 37.82°, rel. 59.4
- 2θ = 56.76°, rel. 43.8
- 2θ = 34.50°, rel. 37.8

a b c (Å): 8.3567 8.3567 8.3567
angles (deg): 150.57 150.57 42.11
Atoms (fractional coordinates):
Gd: 0.0000 0.0000 0.0000
Gd: 0.3535 0.3535 0.0000
Sc: 0.1744 0.6744 0.5000
Sc: 0.6744 0.1744 0.5000
Si: 0.5494 0.5494 0.0000
Ge: 0.8031 0.8031 0.0000

***

For Zr3ScC3, DFT lattice parameters and positions (PBE) gives the simulated powder diffractogram in this record (Cu Ka).
No peak broadening, texture or thermal motion is included.

Peak list (8 most intense, 10° ≤ 2θ ≤ 90°, most intense first)
- 2θ = 31.48°, rel. 100.0
- 2θ = 37.17°, rel. 82.5
- 2θ = 49.23°, rel. 59.6
- 2θ = 64.59°, rel. 42.3
- 2θ = 29.50°, rel. 33.7
- 2θ = 39.10°, rel. 32.6
- 2θ = 27.83°, rel. 30.5
- 2θ = 34.07°, rel. 23.0

a b c (Å): 3.7016 3.7016 18.4327
angles (deg): 90.00 90.00 120.00
Atoms (fractional coordinates):
Zr: 0.3333 0.6667 0.1238
Zr: 0.3333 0.6667 0.3762
Zr: 0.3333 0.6667 0.7500
Zr: 0.6667 0.3333 0.2500
Zr: 0.6667 0.3333 0.6238
Zr: 0.6667 0.3333 0.8762
Sc: 0.0000 0.0000 0.0000
Sc: 0.0000 0.0000 0.5000
C: 0.3333 0.6667 0.2500
C: 0.3333 0.6667 0.5780
C: 0.3333 0.6667 0.9220
C: 0.6667 0.3333 0.0780
C: 0.6667 0.3333 0.4220
C: 0.6667 0.3333 0.7500